No. 1
For ScSi7Rh3, a GGA-PBE-relaxed structure gives the simulated powder diffraction line list in this record (copper Kα).
Kinematic intensities with the Lorentz-polarization factor, no thermal factor.

Atomic structure:
Cell lengths 7.5614, 7.5614, 19.7868 Å; angles 90.00, 90.00, 120.00 degrees
Space group R-3c (No. 167, hexagonal axes)
Asymmetric unit:
Sc: 0.0000 0.0000 0.0000 [6 per cell]
Si: 0.0000 0.0000 0.2500 [6 per cell]
Si: 0.0119 0.2034 0.1365 [36 per cell]
Rh: 0.0000 0.3220 0.2500 [18 per cell]

Largest 10 diffraction maxima, by angle, 10 to 80 degrees two-theta:
27.04°, d 3.298, I 16, hkl 0 0 6; 27.19°, d 3.280, I 100, hkl 1 1 3; 36.14°, d 2.485, I 25, hkl 1 1 6; 36.59°, d 2.456, I 13, hkl 2 1 1; 40.77°, d 2.213, I 12, hkl 2 1 4; 41.36°, d 2.183, I 35, hkl 3 0 0; 47.86°, d 1.901, I 45, hkl 1 1 9; 50.16°, d 1.819, I 70, hkl 2 2 3; 67.01°, d 1.397, I 19, hkl 4 1 3; 71.74°, d 1.316, I 18, hkl 3 0 12



No. 2
For SmScRh2, a GGA-PBE-relaxed structure gives the simulated powder diffraction line list in this record (copper Kα).
Kinematic intensities with the Lorentz-polarization factor, no thermal factor.

Atomic structure:
Cell lengths 3.297, 3.297, 7.008 Å; angles 90.00, 90.00, 90.00 degrees
Space group P4/mmm (No. 123)
Asymmetric unit:
Sm: 0.000 0.000 0.000 [1 per cell]
Sc: 0.000 0.000 0.500 [1 per cell]
Rh: 0.500 0.500 0.275 [2 per cell]

Largest 10 diffraction maxima, by angle, 10 to 80 degrees two-theta:
12.63°, d 7.008, I 10, hkl 0 0 1; 29.95°, d 2.983, I 22, hkl 1 0 1; 37.46°, d 2.401, I 100, hkl 1 0 2; 38.61°, d 2.332, I 54, hkl 1 1 0; 52.21°, d 1.752, I 8, hkl 0 0 4; 55.75°, d 1.649, I 25, hkl 2 0 0; 66.80°, d 1.401, I 15, hkl 1 1 4; 69.12°, d 1.359, I 32, hkl 2 1 2; 73.41°, d 1.290, I 6, hkl 1 0 5; 79.91°, d 1.201, I 9, hkl 2 0 4



No. 3
For Sc3SnRh4, a GGA-PBE-relaxed structure gives the simulated powder diffraction line list in this record (copper Kα).
Kinematic intensities with the Lorentz-polarization factor, no thermal factor.

Atomic structure:
Cell lengths 4.5598, 4.5598, 22.3959 Å; angles 90.00, 90.00, 120.00 degrees
Space group R-3m (No. 166, hexagonal axes)
Asymmetric unit:
Sc: 0.0000 0.0000 0.0000 [3 per cell]
Sc: 0.0000 0.0000 0.2483 [6 per cell]
Sn: 0.0000 0.0000 0.5000 [3 per cell]
Rh: 0.0000 0.0000 0.1229 [6 per cell]
Rh: 0.0000 0.0000 0.3742 [6 per cell]

Largest 10 diffraction maxima, by angle, 10 to 80 degrees two-theta:
11.85°, d 7.465, I 3, hkl 0 0 3; 22.87°, d 3.889, I 2, hkl 1 0 1; 23.88°, d 3.726, I 3, hkl 0 1 2; 27.64°, d 3.227, I 8, hkl 1 0 4; 39.49°, d 2.282, I 100, hkl 1 1 0; 46.67°, d 1.946, I 2, hkl 1 0 10; 57.08°, d 1.614, I 17, hkl 2 0 8; 64.58°, d 1.443, I 3, hkl 2 1 4; 71.51°, d 1.319, I 8, hkl 1 0 16; 71.67°, d 1.317, I 25, hkl 3 0 0



No. 4
For ScSnRh4, a GGA-PBE-relaxed structure gives the simulated powder diffraction line list in this record (copper Kα).
Kinematic intensities with the Lorentz-polarization factor, no thermal factor.

Atomic structure:
Cell lengths 9.330, 3.742, 5.814 Å; angles 90.00, 108.79, 90.00 degrees
Space group C2/m (No. 12)
Asymmetric unit:
Sc: 0.000 0.000 0.000 [2 per cell]
Sn: 0.000 0.000 0.500 [2 per cell]
Rh: 0.159 0.500 0.329 [4 per cell]
Rh: 0.166 0.500 0.828 [4 per cell]

Largest 10 diffraction maxima, by angle, 10 to 80 degrees two-theta:
38.92°, d 2.314, I 100, hkl 3 1 0; 39.25°, d 2.296, I 98, hkl 1 1 -2; 43.51°, d 2.080, I 36, hkl 4 0 -2; 44.02°, d 2.057, I 35, hkl 2 0 2; 48.66°, d 1.871, I 26, hkl 0 2 0; 67.31°, d 1.391, I 19, hkl 4 2 -2; 67.69°, d 1.384, I 19, hkl 2 2 2; 76.58°, d 1.244, I 13, hkl 7 1 -2; 77.25°, d 1.235, I 26, hkl 5 1 -4; 77.93°, d 1.226, I 13, hkl 1 1 4



No. 5
For Sc11Sn9Rh4, a GGA-PBE-relaxed structure gives the simulated powder diffraction line list in this record (copper Kα).
Kinematic intensities with the Lorentz-polarization factor, no thermal factor.

Atomic structure:
Cell lengths 13.954, 20.884, 3.448 Å; angles 90.00, 90.00, 90.00 degrees
Space group Cmmm (No. 65)
Asymmetric unit:
Sc: 0.000 0.000 0.000 [2 per cell]
Sc: 0.000 0.157 0.000 [4 per cell]
Sc: 0.000 0.374 0.000 [4 per cell]
Sc: 0.188 0.500 0.000 [4 per cell]
Sc: 0.243 0.171 0.000 [8 per cell]
Sn: 0.000 0.500 0.500 [2 per cell]
Sn: 0.109 0.261 0.500 [8 per cell]
Sn: 0.145 0.074 0.500 [8 per cell]
Rh: 0.154 0.397 0.500 [8 per cell]

Largest 10 diffraction maxima, by angle, 10 to 80 degrees two-theta:
25.56°, d 3.484, I 26, hkl 0 6 0; 25.84°, d 3.448, I 29, hkl 0 0 1; 34.86°, d 2.574, I 15, hkl 3 3 1; 36.47°, d 2.464, I 50, hkl 4 6 0; 36.67°, d 2.451, I 100, hkl 0 6 1; 39.36°, d 2.289, I 13, hkl 1 9 0; 39.70°, d 2.270, I 14, hkl 6 2 0; 45.23°, d 2.005, I 20, hkl 4 6 1; 53.12°, d 1.724, I 16, hkl 0 0 2; 66.15°, d 1.413, I 18, hkl 4 6 2



No. 6
For ThSc4Rh, a GGA-PBE-relaxed structure gives the simulated powder diffraction line list in this record (copper Kα).
Kinematic intensities with the Lorentz-polarization factor, no thermal factor.

Atomic structure:
Cell lengths 3.335, 3.335, 12.582 Å; angles 90.00, 90.00, 90.00 degrees
Space group P4/mmm (No. 123)
Asymmetric unit:
Th: 0.000 0.000 0.000 [1 per cell]
Sc: 0.000 0.000 0.378 [2 per cell]
Sc: 0.500 0.500 0.190 [2 per cell]
Rh: 0.500 0.500 0.500 [1 per cell]

Largest 10 diffraction maxima, by angle, 10 to 80 degrees two-theta:
14.08°, d 6.291, I 66, hkl 0 0 2; 27.67°, d 3.223, I 42, hkl 1 0 1; 30.34°, d 2.946, I 22, hkl 1 0 2; 34.36°, d 2.610, I 100, hkl 1 0 3; 38.17°, d 2.358, I 44, hkl 1 1 0; 40.87°, d 2.208, I 20, hkl 1 1 2; 45.14°, d 2.009, I 21, hkl 1 0 5; 55.08°, d 1.667, I 15, hkl 2 0 0; 58.94°, d 1.567, I 13, hkl 1 1 6; 66.55°, d 1.405, I 28, hkl 2 1 3



No. 7
For ThSc2Rh, a GGA-PBE-relaxed structure gives the simulated powder diffraction line list in this record (copper Kα).
Kinematic intensities with the Lorentz-polarization factor, no thermal factor.

Atomic structure:
Cell lengths 6.946, 9.123, 6.066 Å; angles 90.00, 90.00, 90.00 degrees
Space group Pnma (No. 62)
Asymmetric unit:
Th: 0.035 0.250 0.141 [4 per cell]
Sc: 0.179 0.063 0.657 [8 per cell]
Rh: 0.122 0.750 0.425 [4 per cell]

Largest 10 diffraction maxima, by angle, 10 to 80 degrees two-theta:
17.56°, d 5.051, I 25, hkl 0 1 1; 19.46°, d 4.562, I 85, hkl 0 2 0; 21.75°, d 4.085, I 22, hkl 1 1 1; 31.25°, d 2.862, I 44, hkl 2 1 1; 32.40°, d 2.763, I 40, hkl 2 2 0; 32.95°, d 2.718, I 24, hkl 0 3 1; 33.71°, d 2.659, I 100, hkl 1 1 2; 35.71°, d 2.515, I 27, hkl 2 2 1; 44.14°, d 2.052, I 34, hkl 1 3 2; 60.74°, d 1.525, I 27, hkl 1 5 2



No. 8
For ThSc3Rh2, a GGA-PBE-relaxed structure gives the simulated powder diffraction line list in this record (copper Kα).
Kinematic intensities with the Lorentz-polarization factor, no thermal factor.

Atomic structure:
Cell lengths 4.443, 8.487, 6.880 Å; angles 90.00, 90.00, 90.00 degrees
Space group Pmc2_1 (No. 26)
Asymmetric unit:
Th: 0.000 0.075 0.000 [2 per cell]
Sc: 0.000 0.341 0.632 [2 per cell]
Sc: 0.500 0.198 0.351 [2 per cell]
Sc: 0.500 0.422 0.968 [2 per cell]
Rh: 0.000 0.346 0.227 [2 per cell]
Rh: 0.500 0.153 0.737 [2 per cell]

Largest 10 diffraction maxima, by angle, 10 to 80 degrees two-theta:
10.42°, d 8.487, I 63, hkl 0 1 0; 19.98°, d 4.443, I 23, hkl 1 0 0; 24.65°, d 3.612, I 33, hkl 0 2 1; 26.08°, d 3.417, I 37, hkl 1 1 1; 31.93°, d 2.803, I 61, hkl 1 2 1; 33.54°, d 2.672, I 24, hkl 0 2 2; 34.27°, d 2.616, I 30, hkl 0 3 1; 34.63°, d 2.590, I 100, hkl 1 1 2; 37.70°, d 2.386, I 32, hkl 1 3 0; 40.61°, d 2.222, I 39, hkl 2 0 0



No. 9
For ZrSc2Ti2Rh5, a GGA-PBE-relaxed structure gives the simulated powder diffraction line list in this record (copper Kα).
Kinematic intensities with the Lorentz-polarization factor, no thermal factor.

Atomic structure:
Cell lengths 9.667, 9.667, 3.661 Å; angles 90.00, 90.00, 90.00 degrees
Space group P4/mbm (No. 127)
Asymmetric unit:
Zr: 0.000 0.000 0.000 [2 per cell]
Sc: 0.175 0.325 0.000 [4 per cell]
Ti: 0.123 0.623 0.000 [4 per cell]
Rh: 0.000 0.500 0.500 [2 per cell]
Rh: 0.069 0.793 0.500 [8 per cell]

Largest 10 diffraction maxima, by angle, 10 to 80 degrees two-theta:
20.54°, d 4.323, I 13, hkl 2 1 0; 24.31°, d 3.661, I 11, hkl 0 0 1; 35.95°, d 2.498, I 17, hkl 2 2 1; 38.37°, d 2.346, I 100, hkl 3 1 1; 41.77°, d 2.162, I 45, hkl 4 2 0; 45.97°, d 1.974, I 11, hkl 4 1 1; 49.82°, d 1.830, I 16, hkl 0 0 2; 64.63°, d 1.442, I 17, hkl 4 1 2; 67.02°, d 1.396, I 13, hkl 4 2 2; 74.02°, d 1.281, I 13, hkl 7 1 1



No. 10
For Sc3Tl2Rh, a GGA-PBE-relaxed structure gives the simulated powder diffraction line list in this record (copper Kα).
Kinematic intensities with the Lorentz-polarization factor, no thermal factor.

Atomic structure:
Cell lengths 4.902, 14.624, 7.090 Å; angles 90.00, 90.00, 90.00 degrees
Space group Cmmm (No. 65)
Asymmetric unit:
Sc: 0.000 0.000 0.234 [4 per cell]
Sc: 0.000 0.324 0.222 [8 per cell]
Tl: 0.000 0.164 0.500 [4 per cell]
Tl: 0.000 0.500 0.000 [2 per cell]
Tl: 0.000 0.500 0.500 [2 per cell]
Rh: 0.000 0.168 0.000 [4 per cell]

Largest 10 diffraction maxima, by angle, 10 to 80 degrees two-theta:
25.12°, d 3.545, I 23, hkl 0 0 2; 25.77°, d 3.457, I 41, hkl 1 3 0; 36.30°, d 2.475, I 100, hkl 1 3 2; 36.66°, d 2.451, I 25, hkl 2 0 0; 36.88°, d 2.437, I 24, hkl 0 6 0; 52.98°, d 1.728, I 17, hkl 2 6 0; 58.52°, d 1.577, I 10, hkl 1 3 4; 65.78°, d 1.420, I 17, hkl 3 3 2; 66.06°, d 1.414, I 16, hkl 1 9 2; 77.07°, d 1.237, I 10, hkl 2 6 4



No. 11
For Sc5TlRh4, a GGA-PBE-relaxed structure gives the simulated powder diffraction line list in this record (copper Kα).
Kinematic intensities with the Lorentz-polarization factor, no thermal factor.

Atomic structure:
Cell lengths 3.275, 3.275, 16.871 Å; angles 90.00, 90.00, 90.00 degrees
Space group P4/mmm (No. 123)
Asymmetric unit:
Sc: 0.000 0.000 0.000 [1 per cell]
Sc: 0.000 0.000 0.189 [2 per cell]
Sc: 0.000 0.000 0.377 [2 per cell]
Tl: 0.500 0.500 0.500 [1 per cell]
Rh: 0.500 0.500 0.094 [2 per cell]
Rh: 0.500 0.500 0.286 [2 per cell]

Largest 10 diffraction maxima, by angle, 10 to 80 degrees two-theta:
26.41°, d 3.374, I 17, hkl 0 0 5; 27.23°, d 3.275, I 31, hkl 1 0 0; 34.68°, d 2.587, I 10, hkl 1 0 4; 38.30°, d 2.350, I 100, hkl 1 0 5; 38.89°, d 2.316, I 54, hkl 1 1 0; 47.63°, d 1.909, I 14, hkl 1 1 5; 56.18°, d 1.637, I 18, hkl 2 0 0; 61.86°, d 1.500, I 7, hkl 1 0 10; 68.86°, d 1.364, I 12, hkl 1 1 10; 70.04°, d 1.343, I 32, hkl 2 1 5



No. 12
For TmSc2Rh2, a GGA-PBE-relaxed structure gives the simulated powder diffraction line list in this record (copper Kα).
Kinematic intensities with the Lorentz-polarization factor, no thermal factor.

Atomic structure:
Cell lengths 3.410, 4.727, 12.062 Å; angles 90.00, 98.11, 90.00 degrees
Space group P2_1/m (No. 11)
Asymmetric unit:
Tm: 0.140 0.250 0.280 [2 per cell]
Sc: 0.045 0.750 0.091 [2 per cell]
Sc: 0.231 0.750 0.463 [2 per cell]
Rh: 0.358 0.250 0.716 [2 per cell]
Rh: 0.455 0.750 0.911 [2 per cell]

Largest 10 diffraction maxima, by angle, 10 to 80 degrees two-theta:
14.84°, d 5.971, I 21, hkl 0 0 2; 20.21°, d 4.395, I 7, hkl 0 1 1; 32.60°, d 2.747, I 10, hkl 1 1 0; 37.60°, d 2.392, I 100, hkl 1 1 2; 38.08°, d 2.363, I 22, hkl 0 2 0; 53.75°, d 1.705, I 10, hkl 2 0 -1; 54.64°, d 1.680, I 11, hkl 0 2 5; 67.77°, d 1.383, I 9, hkl 2 2 -1; 67.93°, d 1.380, I 6, hkl 1 1 7; 68.48°, d 1.370, I 14, hkl 1 3 2



Please write out number 5 again, unchanged.
For Sc11Sn9Rh4, a GGA-PBE-relaxed structure gives the simulated powder diffraction line list in this record (copper Kα).
Kinematic intensities with the Lorentz-polarization factor, no thermal factor.

Atomic structure:
Cell lengths 13.954, 20.884, 3.448 Å; angles 90.00, 90.00, 90.00 degrees
Space group Cmmm (No. 65)
Asymmetric unit:
Sc: 0.000 0.000 0.000 [2 per cell]
Sc: 0.000 0.157 0.000 [4 per cell]
Sc: 0.000 0.374 0.000 [4 per cell]
Sc: 0.188 0.500 0.000 [4 per cell]
Sc: 0.243 0.171 0.000 [8 per cell]
Sn: 0.000 0.500 0.500 [2 per cell]
Sn: 0.109 0.261 0.500 [8 per cell]
Sn: 0.145 0.074 0.500 [8 per cell]
Rh: 0.154 0.397 0.500 [8 per cell]

Largest 10 diffraction maxima, by angle, 10 to 80 degrees two-theta:
25.56°, d 3.484, I 26, hkl 0 6 0; 25.84°, d 3.448, I 29, hkl 0 0 1; 34.86°, d 2.574, I 15, hkl 3 3 1; 36.47°, d 2.464, I 50, hkl 4 6 0; 36.67°, d 2.451, I 100, hkl 0 6 1; 39.36°, d 2.289, I 13, hkl 1 9 0; 39.70°, d 2.270, I 14, hkl 6 2 0; 45.23°, d 2.005, I 20, hkl 4 6 1; 53.12°, d 1.724, I 16, hkl 0 0 2; 66.15°, d 1.413, I 18, hkl 4 6 2